# 1
Diffraction record for HfFe2. The X-ray powder pattern is computed, not measured: it uses a DFT-relaxed cell (PBE, the Materials Project) and λ = 1.5418 Å (Cu Kα).
Neutral-atom scattering factors, no anomalous dispersion.

Structure:
```
HfFe2
1.0
4.938 0.000 0.000
-2.469 4.277 0.000
0.000 0.000 16.069
Hf Fe
8 16
Direct
0.000 0.000 0.094
0.000 0.000 0.406
0.000 0.000 0.594
0.000 0.000 0.906
0.333 0.667 0.156
0.333 0.667 0.344
0.667 0.333 0.656
0.667 0.333 0.844
0.000 0.500 0.000
0.000 0.500 0.500
0.165 0.330 0.750
0.165 0.835 0.750
0.330 0.165 0.250
0.333 0.667 0.625
0.333 0.667 0.875
0.500 0.000 0.000
0.500 0.000 0.500
0.500 0.500 0.000
0.500 0.500 0.500
0.667 0.333 0.125
0.667 0.333 0.375
0.670 0.835 0.750
0.835 0.165 0.250
0.835 0.670 0.250
```

Largest 10 diffraction maxima, by intensity, 2θ = 15–90°:
| two_theta | I/Imax |
| --- | --- |
| 43.00 | 100 |
| 39.71 | 77 |
| 36.39 | 73 |
| 43.81 | 38 |
| 67.72 | 36 |
| 34.92 | 25 |
| 70.04 | 23 |
| 77.29 | 22 |
| 42.66 | 21 |
| 73.76 | 21 |

---

# 2
Diffraction record for HfFe2. The X-ray powder pattern is computed, not measured: it uses a DFT-relaxed cell (PBE, the Materials Project) and λ = 1.5418 Å (Cu Kα).
Neutral-atom scattering factors, no anomalous dispersion.

Structure:
```
HfFe2
1.0
4.946 0.000 0.000
-2.473 4.283 0.000
0.000 0.000 8.041
Hf Fe
4 8
Direct
0.333 0.667 0.063
0.333 0.667 0.437
0.667 0.333 0.563
0.667 0.333 0.937
0.000 0.000 0.000
0.000 0.000 0.500
0.168 0.337 0.750
0.168 0.832 0.750
0.337 0.168 0.250
0.663 0.832 0.750
0.832 0.168 0.250
0.832 0.663 0.250
```

Largest 10 diffraction maxima, by intensity, 2θ = 15–90°:
| two_theta | I/Imax |
| --- | --- |
| 39.67 | 100 |
| 42.94 | 96 |
| 36.33 | 71 |
| 43.74 | 49 |
| 67.60 | 40 |
| 73.66 | 26 |
| 69.92 | 22 |
| 77.14 | 21 |
| 20.74 | 18 |
| 42.20 | 16 |

---

# 3
Diffraction record for HfMg14Fe. The X-ray powder pattern is computed, not measured: it uses a DFT-relaxed cell (PBE, the Materials Project) and λ = 1.5418 Å (Cu Kα).
Neutral-atom scattering factors, no anomalous dispersion.

Structure:
```
HfMg14Fe
1.0
10.075 0.000 0.000
0.000 3.044 5.559
0.000 -3.044 5.559
Hf Mg Fe
1 14 1
Direct
0.000 0.000 0.000
0.000 0.007 0.491
0.000 0.491 0.007
0.227 0.642 0.642
0.239 0.161 0.653
0.239 0.653 0.161
0.254 0.151 0.151
0.500 0.492 0.492
0.500 0.495 0.989
0.500 0.988 0.988
0.500 0.989 0.495
0.746 0.151 0.151
0.761 0.161 0.653
0.761 0.653 0.161
0.773 0.642 0.642
0.000 0.489 0.489
```

Largest 10 diffraction maxima, by intensity, 2θ = 15–90°:
| two_theta | I/Imax |
| --- | --- |
| 38.15 | 100 |
| 36.93 | 65 |
| 18.23 | 43 |
| 35.64 | 41 |
| 33.57 | 37 |
| 15.94 | 32 |
| 18.81 | 28 |
| 70.24 | 25 |
| 49.77 | 24 |
| 17.61 | 24 |

---

# 4
Diffraction record for HfMg6Fe. The X-ray powder pattern is computed, not measured: it uses a DFT-relaxed cell (PBE, the Materials Project) and λ = 1.5418 Å (Cu Kα).
Neutral-atom scattering factors, no anomalous dispersion.

Structure:
```
HfMg6Fe
1.0
4.979 0.000 0.000
0.000 2.949 5.606
0.000 -2.949 5.606
Hf Mg Fe
1 6 1
Direct
0.000 0.000 0.000
0.000 0.000 0.497
0.000 0.497 0.000
0.500 0.153 0.153
0.500 0.161 0.652
0.500 0.635 0.635
0.500 0.652 0.161
0.000 0.487 0.487
```

Largest 10 diffraction maxima, by intensity, 2θ = 15–90°:
| two_theta | I/Imax |
| --- | --- |
| 38.96 | 100 |
| 15.81 | 75 |
| 36.80 | 70 |
| 17.81 | 53 |
| 23.90 | 48 |
| 34.36 | 45 |
| 16.98 | 43 |
| 36.08 | 42 |
| 24.71 | 41 |
| 50.67 | 30 |